# 1
Dy5Tm4Sc: simulated powder XRD pattern (Cu Ka), based on a crystal structure in Alexandria, relaxed with PBE.
Lines closer than 0.1° are merged.

Unit cell a=4.927 b=6.992 c=9.234 alpha=100.84 beta=105.46 gamma=90.13
Space group P1 (No. 1)
Asymmetric unit:
Dy (0.000, 0.000, 0.000) x1
Dy (0.198, 0.099, 0.396) x1
Dy (0.400, 0.703, 0.801) x1
Dy (0.599, 0.302, 0.198) x1
Dy (0.800, 0.403, 0.600) x1
Tm (0.001, 0.505, 0.001) x1
Tm (0.198, 0.603, 0.395) x1
Tm (0.399, 0.201, 0.797) x1
Tm (0.797, 0.900, 0.595) x1
Sc (0.599, 0.801, 0.199) x1

Largest 8 diffraction maxima, most intense first, 2θ from 5° to 70°:
31.39 deg, intensity 100, (1 0 2); 36.37 deg, intensity 34, (0 2 2); 52.39 deg, intensity 24, (2 -2 2); 62.35 deg, intensity 21, (1 4 1); 36.47 deg, intensity 17, (2 0 -1); 62.45 deg, intensity 14, (3 0 1); 52.50 deg, intensity 12, (2 2 1); 65.54 deg, intensity 9, (2 4 -2)

---

# 2
Dy5Tm4Sc: simulated powder XRD pattern (Cu Ka), based on a crystal structure in Alexandria, relaxed with PBE.
Lines closer than 0.1° are merged.

Unit cell a=10.477 b=10.477 c=5.700 alpha=90.00 beta=90.00 gamma=90.00
Space group I4mm (No. 107)
Asymmetric unit:
Dy (0.000, 0.000, 0.000) x2
Dy (0.187, 0.187, 0.717) x8
Tm (0.000, 0.324, 0.226) x8
Sc (0.000, 0.000, 0.467) x2

Largest 8 diffraction maxima, most intense first, 2θ from 5° to 70°:
30.01 deg, intensity 100, (3 0 1); 36.38 deg, intensity 36, (3 3 0); 61.57 deg, intensity 19, (6 3 1); 55.04 deg, intensity 18, (3 0 3); 48.79 deg, intensity 17, (3 3 2); 31.39 deg, intensity 17, (0 0 2); 52.40 deg, intensity 11, (6 0 0); 35.87 deg, intensity 10, (2 0 2)

---

# 3
Dy4Tm5Sc2: simulated powder XRD pattern (Cu Ka), based on a crystal structure in Alexandria, relaxed with PBE.
Lines closer than 0.1° are merged.

Unit cell a=3.594 b=8.887 c=10.978 alpha=108.43 beta=99.42 gamma=90.01
Space group P-1 (No. 2)
Asymmetric unit:
Dy (0.024, 0.207, 0.047) x2
Dy (0.128, 0.738, 0.256) x2
Tm (0.232, 0.156, 0.464) x2
Tm (0.330, 0.569, 0.661) x2
Tm (0.500, 0.500, 0.000) x1
Sc (0.399, 0.973, 0.798) x2

Largest 8 diffraction maxima, most intense first, 2θ from 5° to 70°:
32.58 deg, intensity 100, (1 1 -3); 33.98 deg, intensity 89, (1 2 0); 31.23 deg, intensity 52, (0 1 3); 31.04 deg, intensity 40, (0 3 -2); 50.80 deg, intensity 20, (2 0 -1); 27.86 deg, intensity 17, (0 2 -3); 60.85 deg, intensity 16, (2 1 2); 55.51 deg, intensity 13, (1 0 5)

---

# 4
Dy2Tm12Sc5: simulated powder XRD pattern (Cu Ka), based on a crystal structure in Alexandria, relaxed with PBE.
Lines closer than 0.1° are merged.

Unit cell a=15.797 b=8.581 c=8.249 alpha=90.00 beta=91.60 gamma=90.00
Space group C2/m (No. 12)
Asymmetric unit:
Dy (0.000, 0.213, 0.000) x4
Tm (0.055, 0.500, 0.275) x4
Tm (0.109, 0.295, 0.612) x8
Tm (0.165, 0.000, 0.870) x4
Tm (0.188, 0.204, 0.224) x8
Sc (0.000, 0.000, 0.500) x2
Sc (0.147, 0.500, 0.943) x4
Sc (0.244, 0.000, 0.549) x4

Largest 8 diffraction maxima, most intense first, 2θ from 5° to 70°:
32.90 deg, intensity 100, (4 2 1); 31.95 deg, intensity 89, (2 2 -2); 34.86 deg, intensity 45, (2 0 3); 33.59 deg, intensity 39, (1 3 -1); 35.51 deg, intensity 38, (6 0 -1); 24.07 deg, intensity 17, (2 0 -2); 51.92 deg, intensity 17, (8 0 2); 42.12 deg, intensity 13, (0 4 0)

---

# 5
DyTm3Sc2: simulated powder XRD pattern (Cu Ka), based on a crystal structure in Alexandria, relaxed with PBE.
Lines closer than 0.1° are merged.

Unit cell a=16.984 b=3.380 c=13.692 alpha=90.00 beta=117.55 gamma=90.00
Space group C2/m (No. 12)
Asymmetric unit:
Dy (0.060, 0.000, 0.146) x4
Tm (0.040, 0.500, 0.713) x4
Tm (0.104, 0.000, 0.526) x4
Tm (0.244, 0.000, 0.800) x4
Sc (0.159, 0.000, 0.967) x4
Sc (0.183, 0.500, 0.385) x4

Largest 8 diffraction maxima, most intense first, 2θ from 5° to 70°:
33.29 deg, intensity 100, (4 0 2); 32.13 deg, intensity 84, (6 0 -3); 33.12 deg, intensity 64, (2 0 -5); 30.82 deg, intensity 55, (3 1 -1); 21.97 deg, intensity 25, (0 0 3); 29.48 deg, intensity 25, (1 1 -2); 34.65 deg, intensity 23, (3 1 1); 36.86 deg, intensity 23, (1 1 3)

---

# 6
DyTm7Sc4: simulated powder XRD pattern (Cu Ka), based on a crystal structure in Alexandria, relaxed with PBE.
Lines closer than 0.1° are merged.

Unit cell a=5.971 b=6.883 c=8.463 alpha=90.01 beta=103.63 gamma=90.03
Space group P-1 (No. 2)
Asymmetric unit:
Dy (0.000, 0.000, 0.000) x1
Tm (0.000, 0.500, 0.000) x1
Tm (0.223, 0.000, 0.663) x2
Tm (0.283, 0.255, 0.339) x2
Tm (0.498, 0.746, 0.004) x2
Sc (0.217, 0.500, 0.660) x2
Sc (0.277, 0.746, 0.338) x2

Largest 8 diffraction maxima, most intense first, 2θ from 5° to 70°:
33.37 deg, intensity 100, (1 -2 1); 35.16 deg, intensity 94, (-1 2 2); 30.18 deg, intensity 52, (1 2 0); 32.66 deg, intensity 48, (0 0 3); 63.83 deg, intensity 42, (3 -2 2); 53.18 deg, intensity 36, (-3 2 1); 57.56 deg, intensity 20, (1 -2 4); 61.07 deg, intensity 20, (-1 2 5)

---

# 7
DyTm3Sc3: simulated powder XRD pattern (Cu Ka), based on a crystal structure in Alexandria, relaxed with PBE.
Lines closer than 0.1° are merged.

Unit cell a=9.1613 b=9.1613 c=5.3945 alpha=90.00 beta=90.00 gamma=120.00
Space group P6_3/m (No. 176)
Asymmetric unit:
Dy (0.3333, 0.6667, 0.2500) x2
Tm (0.0471, 0.8046, 0.2500) x6
Sc (0.0956, 0.6153, 0.7500) x6

Largest 8 diffraction maxima, most intense first, 2θ from 5° to 70°:
34.21 deg, intensity 100, (1 2 1); 29.79 deg, intensity 28, (1 2 0); 33.22 deg, intensity 24, (0 0 2); 63.89 deg, intensity 21, (4 1 2); 59.99 deg, intensity 19, (1 2 3); 52.88 deg, intensity 19, (4 1 0); 45.22 deg, intensity 18, (1 2 2); 64.51 deg, intensity 16, (2 4 1)

---

# 8
DyTm3Sc5: simulated powder XRD pattern (Cu Ka), based on a crystal structure in Alexandria, relaxed with PBE.
Lines closer than 0.1° are merged.

Unit cell a=8.296 b=8.296 c=14.142 alpha=90.00 beta=90.00 gamma=90.00
Space group I4/mcm (No. 140)
Asymmetric unit:
Dy (0.000, 0.500, 0.250) x4
Tm (0.000, 0.000, 0.250) x4
Tm (0.119, 0.381, 0.000) x8
Sc (0.000, 0.000, 0.000) x4
Sc (0.205, 0.295, 0.366) x16

Largest 8 diffraction maxima, most intense first, 2θ from 5° to 70°:
33.30 deg, intensity 100, (2 0 4); 24.85 deg, intensity 77, (2 0 2); 30.67 deg, intensity 77, (2 1 3); 45.58 deg, intensity 60, (4 0 2); 30.48 deg, intensity 54, (2 2 0); 25.19 deg, intensity 48, (0 0 4); 39.69 deg, intensity 38, (3 2 1); 21.42 deg, intensity 30, (2 0 0)

---

# 9
Dy2Tm9Sc: simulated powder XRD pattern (Cu Ka), based on a crystal structure in Alexandria, relaxed with PBE.
Lines closer than 0.1° are merged.

Unit cell a=4.922 b=4.922 c=14.748 alpha=90.00 beta=90.00 gamma=90.00
Space group P4/mmm (No. 123)
Asymmetric unit:
Dy (0.000, 0.000, 0.168) x2
Tm (0.000, 0.500, 0.000) x2
Tm (0.000, 0.500, 0.338) x4
Tm (0.500, 0.500, 0.169) x2
Tm (0.500, 0.500, 0.500) x1
Sc (0.000, 0.000, 0.500) x1

Largest 8 diffraction maxima, most intense first, 2θ from 5° to 70°:
31.49 deg, intensity 100, (1 1 3); 36.53 deg, intensity 50, (2 0 0); 62.62 deg, intensity 42, (3 1 3); 52.62 deg, intensity 36, (2 2 0); 65.75 deg, intensity 12, (2 2 6); 5.99 deg, intensity 2, (0 0 1); 18.03 deg, intensity 2, (1 0 0); 25.61 deg, intensity 1, (1 1 0)

---

# 10
Dy3Tm3Sc2: simulated powder XRD pattern (Cu Ka), based on a crystal structure in Alexandria, relaxed with PBE.
Lines closer than 0.1° are merged.

Unit cell a=16.653 b=5.375 c=5.559 alpha=90.00 beta=108.58 gamma=90.00
Space group C2/m (No. 12)
Asymmetric unit:
Dy (0.000, 0.000, 0.000) x2
Dy (0.140, 0.000, 0.684) x4
Tm (0.000, 0.500, 0.500) x2
Tm (0.139, 0.500, 0.101) x4
Sc (0.250, 0.000, 0.306) x4

Largest 8 diffraction maxima, most intense first, 2θ from 5° to 70°:
32.23 deg, intensity 100, (3 1 1); 32.61 deg, intensity 67, (5 1 -1); 33.34 deg, intensity 36, (0 2 0); 47.04 deg, intensity 24, (2 2 -2); 57.96 deg, intensity 19, (8 2 0); 25.55 deg, intensity 16, (1 1 1); 25.79 deg, intensity 14, (3 1 -1); 59.12 deg, intensity 12, (5 3 -1)

---

# 11
Dy3Tm8Sc2: simulated powder XRD pattern (Cu Ka), based on a crystal structure in Alexandria, relaxed with PBE.
Lines closer than 0.1° are merged.

Unit cell a=7.559 b=19.358 c=5.491 alpha=90.00 beta=90.00 gamma=90.00
Space group Cmmm (No. 65)
Asymmetric unit:
Dy (0.000, 0.000, 0.000) x2
Dy (0.213, 0.500, 0.500) x4
Tm (0.000, 0.136, 0.500) x4
Tm (0.000, 0.324, 0.500) x4
Tm (0.210, 0.387, 0.000) x8
Sc (0.000, 0.241, 0.000) x4

Largest 8 diffraction maxima, most intense first, 2θ from 5° to 70°:
34.25 deg, intensity 100, (2 4 1); 32.62 deg, intensity 45, (0 0 2); 30.63 deg, intensity 37, (1 5 1); 32.18 deg, intensity 25, (0 6 1); 59.26 deg, intensity 21, (2 4 3); 28.67 deg, intensity 18, (2 0 1); 56.22 deg, intensity 18, (3 9 0); 30.15 deg, intensity 16, (2 2 1)

---

# 12
Dy8Tm3Sc4: simulated powder XRD pattern (Cu Ka), based on a crystal structure in Alexandria, relaxed with PBE.
Lines closer than 0.1° are merged.

Unit cell a=13.020 b=11.784 c=6.577 alpha=90.00 beta=116.05 gamma=90.00
Space group C2/m (No. 12)
Asymmetric unit:
Dy (0.000, 0.204, 0.000) x4
Dy (0.000, 0.261, 0.500) x4
Dy (0.203, 0.000, 0.166) x4
Dy (0.234, 0.500, 0.300) x4
Tm (0.000, 0.000, 0.500) x2
Tm (0.250, 0.250, 0.000) x4
Sc (0.000, 0.500, 0.000) x2
Sc (0.000, 0.500, 0.500) x2
Sc (0.250, 0.250, 0.500) x4

Largest 8 diffraction maxima, most intense first, 2θ from 5° to 70°:
30.32 deg, intensity 100, (0 4 0); 30.57 deg, intensity 75, (4 0 0); 33.94 deg, intensity 52, (0 2 2); 35.76 deg, intensity 50, (4 2 -2); 43.61 deg, intensity 44, (4 4 0); 27.19 deg, intensity 32, (2 0 -2); 31.17 deg, intensity 29, (2 2 -2); 31.45 deg, intensity 27, (4 2 -1)